# 1
Starting from a structure optimized by DFT (PBE), the PXRD pattern of TiIn2GaF6 was simulated for CuKα.
Kinematic intensities with the Lorentz-polarization factor, no thermal factor.

Atomic structure:
```
20
Lattice="5.8360 0.0000 0.0000 0.0000 8.3469 0.0000 0.0000 0.0000 7.5829" Properties=species:S:1:pos:R:3 pbc="T T T"
Ti 1.4590 2.0867 0.9747
Ti 4.3770 6.2602 6.6082
In 1.4590 4.3891 4.2732
In 1.4590 8.1312 4.2732
In 4.3770 0.2157 3.3097
In 4.3770 3.9578 3.3097
Ga 1.4590 6.2602 1.7266
Ga 4.3770 2.0867 5.8563
F 0.0079 2.0867 2.3272
F 0.0803 2.0867 7.1285
F 1.4590 0.1954 1.1026
F 1.4590 3.9781 1.1026
F 2.8377 2.0867 7.1285
F 2.9102 2.0867 2.3272
F 2.9259 6.2602 5.2557
F 2.9983 6.2602 0.4544
F 4.3770 4.3688 6.4803
F 4.3770 8.1515 6.4803
F 5.7558 6.2602 0.4544
F 5.8282 6.2602 5.2557
```

Largest 10 diffraction maxima, by angle, 10° ≤ 2θ ≤ 90°:
two_theta  intensity
11.7  616
24.3  1000
28.1  849
28.8  556
30.6  450
31.9  390
38.8  278
39.5  370
43.4  294
44.8  295



# 2
Starting from a structure optimized by DFT (PBE), the PXRD pattern of TlIn2GaF6 was simulated for CuKα.
Kinematic intensities with the Lorentz-polarization factor, no thermal factor.

Atomic structure:
```
10
Lattice="5.9620 0.0000 0.0000 2.2478 5.5465 0.0000 2.1532 1.4205 5.6824" Properties=species:S:1:pos:R:3 pbc="T T T"
Tl 0.0000 0.0000 0.0000
In 2.6893 1.8235 1.5393
In 7.6738 5.1436 4.1431
Ga 5.1815 3.4835 2.8412
F 3.4598 3.0358 3.6384
F 5.1116 5.3232 3.4484
F 4.1960 3.8705 1.2272
F 6.1670 3.0965 4.4552
F 5.2515 1.6439 2.2340
F 6.9033 3.9313 2.0440
```

Largest 10 diffraction maxima, by angle, 10° ≤ 2θ ≤ 90°:
two_theta  intensity
19.4  233
25.4  847
25.6  841
26.7  751
29.4  526
30.4  1000
40.0  335
40.2  611
44.1  203
46.7  228



# 3
Starting from a structure optimized by DFT (PBE), the PXRD pattern of KGa2F6 was simulated for CuKα.
Kinematic intensities with the Lorentz-polarization factor, no thermal factor.

Atomic structure:
```
9
Lattice="2.7540 1.5900 6.0411 -2.7540 1.5900 6.0411 0.0000 -3.1801 6.0411" Properties=species:S:1:pos:R:3 pbc="T T T"
K 0.0000 0.0000 0.0000
Ga 0.0000 0.0000 3.4001
Ga 0.0000 0.0000 9.2626
F -0.5678 -1.5253 8.2070
F -1.5835 0.1167 10.4269
F -1.0371 1.2544 8.2070
F 0.6907 -1.4296 10.4269
F 1.6049 0.2710 8.2070
F 0.8928 1.3130 10.4269
```

Largest 10 diffraction maxima, by angle, 10° ≤ 2θ ≤ 90°:
two_theta  intensity
14.7  1000
19.2  373
21.0  636
27.1  409
32.5  319
35.8  387
42.8  136
44.5  706
56.6  189
58.0  202